Starting from a cell relaxed with PBE, the XRD peak list of Nd5Tl8In was computed for Cu Kα X-rays.
No peak broadening, texture or thermal motion is included.

Structure:
Cell: 8.2277 8.2277 8.2277 Å, 108.52 108.52 111.39°
Positions (direct):
1 Nd 0.0000 0.0000 0.0000
2 Nd 0.2500 0.6238 0.1434
3 Nd 0.3762 0.5196 0.6262
4 Nd 0.4804 0.1065 0.8566
5 Nd 0.8935 0.7500 0.3738
6 Tl 0.1084 0.6957 0.7564
7 Tl 0.1195 0.2216 0.7522
8 Tl 0.3043 0.0607 0.4127
9 Tl 0.4694 0.3674 0.2478
10 Tl 0.6326 0.8805 0.1020
11 Tl 0.6480 0.8916 0.5873
12 Tl 0.7784 0.5306 0.8980
13 Tl 0.9393 0.3520 0.2436
14 In 0.7500 0.2500 0.5000

The 6 most intense peaks (2θ from 10° to 80°), by intensity:
d = 3.040 Å, I = 100.0; d = 2.510 Å, I = 91.2; d = 3.028 Å, I = 78.6; d = 2.943 Å, I = 71.6; d = 2.542 Å, I = 71.3; d = 2.562 Å, I = 68.8